Starting from a DFT-relaxed cell (GGA+U, Alexandria), the powder diffraction line list of Pu2NiPbO8 was calculated for Cu Kα (λ = 1.5418 Å).
Peak positions follow from Bragg's law for the DFT cell and can differ from measured ones.

Top 10 peaks for 2θ = 10–90°, low angle first:
| 2θ (°) | I (rel.) | index |
| --- | --- | --- |
| 21.61 | 100 | 0 1 1 |
| 28.12 | 73 | 1 1 0 |
| 33.17 | 42 | 1 0 2 |
| 35.74 | 20 | 2 0 1 |
| 44.03 | 22 | 0 2 2 |
| 46.08 | 31 | 1 2 1 |
| 49.78 | 15 | 3 0 0 |
| 52.85 | 12 | 1 1 3 |
| 53.07 | 25 | 2 1 2 |
| 58.15 | 13 | 2 2 0 |

Crystal structure
Unit cell a=6.3456 b=6.3456 c=6.2025 alpha=90.00 beta=90.00 gamma=120.00
Atoms (fractional coordinates):
1 Pu 0.3333 0.6667 0.2962
2 Pu 0.6667 0.3333 0.7038
3 Ni 0.0000 0.0000 0.5000
4 Pb 0.0000 0.0000 0.0000
5 O 0.1504 0.3009 0.3031
6 O 0.1504 0.8496 0.3031
7 O 0.3009 0.1504 0.6969
8 O 0.3333 0.6667 0.9938
9 O 0.6667 0.3333 0.0062
10 O 0.6991 0.8496 0.3031
11 O 0.8496 0.1504 0.6969
12 O 0.8496 0.6991 0.6969